UPd4: calculated powder X-ray diffraction pattern (Cu Kα, 1.54184 Å), based on a cell relaxed with PBE.

Largest 10 diffraction maxima, most intense first, 10 to 80 degrees two-theta:
2θ (°), I (rel.)
38.08, 100.0
38.37, 94.6
40.53, 40.1
42.20, 39.9
59.95, 25.5
78.10, 24.3
50.09, 19.5
42.55, 19.4
28.93, 16.4
67.52, 16.3

Atomic structure:
Unit cell a=7.935 b=7.935 c=7.935 alpha=148.69 beta=137.74 gamma=53.53
Atoms (fractional coordinates):
U  0.362  0.112  0.250
U  0.638  0.888  0.750
Pd  0.000  0.500  0.500
Pd  0.149  0.899  0.250
Pd  0.184  0.693  0.491
Pd  0.298  0.307  0.991
Pd  0.500  0.500  0.000
Pd  0.702  0.693  0.009
Pd  0.816  0.307  0.509
Pd  0.851  0.101  0.750

BaCaNdBiO6: calculated powder X-ray diffraction pattern (Cu Kα, 1.54184 Å), based on a cell relaxed with PBE.

Largest 10 diffraction maxima, most intense first, 10 to 80 degrees two-theta:
2θ (°), I (rel.)
29.07, 100.0
29.15, 67.0
29.49, 32.3
41.86, 32.3
51.54, 28.9
20.58, 26.0
51.41, 22.1
41.43, 18.1
52.14, 16.3
52.03, 15.6

Atomic structure:
Unit cell a=6.058 b=6.152 c=8.718 alpha=90.00 beta=89.83 gamma=89.91
Atoms (fractional coordinates):
Ba  0.008  0.463  0.250
Ba  0.992  0.537  0.750
Ca  0.499  0.967  0.250
Ca  0.501  0.033  0.750
Nd  0.000  0.000  0.000
Nd  0.500  0.500  0.500
Bi  0.000  0.000  0.500
Bi  0.500  0.500  0.000
O  0.112  0.997  0.737
O  0.186  0.711  0.467
O  0.208  0.688  0.024
O  0.292  0.182  0.435
O  0.323  0.205  0.064
O  0.434  0.425  0.762
O  0.566  0.575  0.238
O  0.677  0.795  0.936
O  0.708  0.818  0.565
O  0.792  0.312  0.976
O  0.814  0.289  0.533
O  0.888  0.003  0.263

BeNb4C2: calculated powder X-ray diffraction pattern (Cu Kα, 1.54184 Å), based on a cell relaxed with PBE.

Largest 10 diffraction maxima, most intense first, 10 to 80 degrees two-theta:
2θ (°), I (rel.)
36.97, 100.0
38.82, 71.2
38.08, 67.2
33.24, 63.4
69.79, 32.4
34.27, 29.5
41.45, 28.1
58.22, 24.6
58.60, 23.5
35.26, 20.3

Atomic structure:
Unit cell a=5.478 b=5.478 c=10.984 alpha=90.00 beta=90.00 gamma=145.61
Atoms (fractional coordinates):
Be  0.107  0.893  0.750
Be  0.893  0.107  0.250
Nb  0.000  0.000  0.000
Nb  0.000  0.000  0.500
Nb  0.267  0.733  0.113
Nb  0.267  0.733  0.387
Nb  0.435  0.565  0.750
Nb  0.565  0.435  0.250
Nb  0.733  0.267  0.613
Nb  0.733  0.267  0.887
C  0.363  0.637  0.563
C  0.363  0.637  0.937
C  0.637  0.363  0.063
C  0.637  0.363  0.437

Which formula does entry 2 have? BaCaNdBiO6